# 1
Starting from a GGA-PBE-relaxed structure, the X-ray powder pattern of Pm6Sm2DyY was calculated for Cu Kα (weighted mean of Kα1 and Kα2).
Intensities are scaled so that the largest is 100.

Structural model:
```
Pm6Sm2DyY
1.0
4.5953 -7.7084 0.0000
4.5953 7.7084 0.0000
-1.3309 0.0000 9.6465
Pm Sm Dy Y
12 4 2 2
Direct
0.0168 0.5706 0.1883
0.1238 0.7565 0.5546
0.2435 0.8762 0.9454
0.2895 0.5016 0.3811
0.4294 0.9832 0.3117
0.4984 0.7105 0.1189
0.5016 0.2895 0.8811
0.5706 0.0168 0.6883
0.7105 0.4984 0.6189
0.7565 0.1238 0.0546
0.8762 0.2435 0.4454
0.9832 0.4294 0.8117
0.1971 0.3013 0.0432
0.3013 0.1971 0.5432
0.6987 0.8029 0.4568
0.8029 0.6987 0.9568
0.4092 0.5908 0.7500
0.5908 0.4092 0.2500
0.0230 0.9770 0.2500
0.9770 0.0230 0.7500
```

Largest 8 diffraction maxima, by angle, 10° ≤ 2θ ≤ 90°:
Position (°2θ)	Rel. int.
27.58	14
28.10	32
30.16	100
30.61	40
31.03	89
31.62	17
33.20	52
59.56	16



# 2
Starting from a GGA-PBE-relaxed structure, the X-ray powder pattern of K2AlCr2Te6 was calculated for Cu Kα (weighted mean of Kα1 and Kα2).
Intensities are scaled so that the largest is 100.

Structural model:
```
K2AlCr2Te6
1.0
3.4298 -5.9775 0.0000
3.4298 5.9775 0.0000
-2.2821 0.0000 8.5419
K Al Cr Te
2 1 2 6
Direct
0.1653 0.8347 0.0000
0.8347 0.1653 0.0000
0.0000 0.0000 0.5000
0.3322 0.6678 0.5000
0.6678 0.3322 0.5000
0.0620 0.4008 0.6821
0.2803 0.2803 0.3191
0.4008 0.0620 0.6821
0.5992 0.9380 0.3179
0.7197 0.7197 0.6809
0.9380 0.5992 0.3179
```

Largest 8 diffraction maxima, by angle, 10° ≤ 2θ ≤ 90°:
Position (°2θ)	Rel. int.
10.36	100
26.79	41
29.43	95
29.55	47
31.31	32
35.78	36
45.75	35
47.08	32



# 3
Starting from a GGA-PBE-relaxed structure, the X-ray powder pattern of AlP2SCl was calculated for Cu Kα (weighted mean of Kα1 and Kα2).
Intensities are scaled so that the largest is 100.

Structural model:
```
AlP2SCl
1.0
4.7618 0.0000 0.0000
0.0000 4.7618 0.0000
0.0000 0.0000 4.4815
Al P S Cl
1 2 1 1
Direct
0.0000 0.0000 0.0000
0.0000 0.5000 0.0000
0.5000 0.0000 0.0000
0.0000 0.0000 0.5000
0.5000 0.5000 0.5000
```

Largest 8 diffraction maxima, by angle, 10° ≤ 2θ ≤ 90°:
Position (°2θ)	Rel. int.
27.33	14
33.28	100
37.78	79
40.25	32
54.50	25
56.39	44
65.38	23
69.89	23



# 4
Starting from a GGA-PBE-relaxed structure, the X-ray powder pattern of Co2P2N was calculated for Cu Kα (weighted mean of Kα1 and Kα2).
Intensities are scaled so that the largest is 100.

Structural model:
```
Co2P2N
1.0
3.2342 0.0000 0.0000
-1.6171 2.8009 0.0000
0.0000 0.0000 6.3677
Co P N
2 2 1
Direct
0.0000 0.0000 0.0000
0.0000 0.0000 0.3894
0.3333 0.6667 0.1713
0.6667 0.3333 0.5844
0.6667 0.3333 0.8369
```

Largest 8 diffraction maxima, by angle, 10° ≤ 2θ ≤ 90°:
Position (°2θ)	Rel. int.
13.91	37
28.02	20
31.95	69
35.00	68
43.01	100
54.22	68
56.94	60
82.52	19



# 5
Starting from a GGA-PBE-relaxed structure, the X-ray powder pattern of TiNb2Rh was calculated for Cu Kα (weighted mean of Kα1 and Kα2).
Intensities are scaled so that the largest is 100.

Structural model:
```
TiNb2Rh
1.0
3.2090 0.0000 0.0000
0.0000 3.2090 0.0000
0.0000 0.0000 6.5048
Ti Nb Rh
1 2 1
Direct
0.0000 0.0000 0.0000
0.5000 0.5000 0.2519
0.5000 0.5000 0.7481
0.0000 0.0000 0.5000
```

Largest 8 diffraction maxima, by angle, 10° ≤ 2θ ≤ 90°:
Position (°2θ)	Rel. int.
13.61	10
39.45	100
39.72	49
56.60	8
57.43	16
71.36	16
71.91	32
84.90	10



# 6
Starting from a GGA-PBE-relaxed structure, the X-ray powder pattern of La2PmDy2Ho2 was calculated for Cu Kα (weighted mean of Kα1 and Kα2).
Intensities are scaled so that the largest is 100.

Structural model:
```
La2PmDy2Ho2
1.0
5.7110 -2.5512 0.0000
5.7110 2.5512 0.0000
-1.1480 0.0000 8.0249
La Pm Dy Ho
2 1 2 2
Direct
0.1419 0.1419 0.4265
0.8581 0.8581 0.5735
0.0000 0.0000 0.0000
0.2841 0.2841 0.8613
0.7159 0.7159 0.1387
0.4290 0.4290 0.2815
0.5710 0.5710 0.7185
```

Largest 8 diffraction maxima, by angle, 10° ≤ 2θ ≤ 90°:
Position (°2θ)	Rel. int.
30.28	100
35.02	17
35.15	34
50.52	30
59.90	14
60.04	14
60.11	14
84.93	10



# 7
Starting from a GGA-PBE-relaxed structure, the X-ray powder pattern of Ce2PmTmS4 was calculated for Cu Kα (weighted mean of Kα1 and Kα2).
Intensities are scaled so that the largest is 100.

Structural model:
```
Ce2PmTmS4
1.0
6.8930 0.0000 0.0000
0.0000 3.9633 0.0000
-2.2805 0.0000 6.5494
Ce Pm Tm S
2 1 1 4
Direct
0.0000 0.0000 0.0000
0.5000 0.5000 0.0000
0.0000 0.5000 0.5000
0.5000 0.0000 0.5000
0.2565 0.0000 0.7437
0.2625 0.5000 0.2624
0.7375 0.5000 0.7376
0.7435 0.0000 0.2563
```

Largest 8 diffraction maxima, by angle, 10° ≤ 2θ ≤ 90°:
Position (°2θ)	Rel. int.
27.23	20
27.40	19
27.51	38
31.76	100
45.42	24
45.64	24
54.06	16
56.80	12



# 8
Starting from a GGA-PBE-relaxed structure, the X-ray powder pattern of Re6RuRh was calculated for Cu Kα (weighted mean of Kα1 and Kα2).
Intensities are scaled so that the largest is 100.

Structural model:
```
Re6RuRh
1.0
0.0000 3.9038 5.5130
2.7463 0.0000 5.5130
2.7463 3.9038 0.0000
Re Ru Rh
6 1 1
Direct
0.1260 0.1260 0.3740
0.2500 0.2500 0.7500
0.3740 0.3740 0.1260
0.6260 0.6260 0.8740
0.7500 0.7500 0.2500
0.8740 0.8740 0.6260
0.0000 0.0000 0.0000
0.5000 0.5000 0.5000
```

Largest 8 diffraction maxima, by angle, 10° ≤ 2θ ≤ 90°:
Position (°2θ)	Rel. int.
40.04	100
40.15	99
46.53	33
46.69	65
68.04	53
81.89	26
82.03	26
82.23	25



# 9
Starting from a GGA-PBE-relaxed structure, the X-ray powder pattern of Sm6MgAl3 was calculated for Cu Kα (weighted mean of Kα1 and Kα2).
Intensities are scaled so that the largest is 100.

Structural model:
```
Sm6MgAl3
1.0
9.4350 0.0000 0.0000
0.0000 5.2234 0.0000
-3.5137 0.0000 11.0528
Sm Mg Al
12 2 6
Direct
0.0451 0.2500 0.4140
0.1539 0.7500 0.1804
0.2302 0.2500 0.9976
0.3255 0.7500 0.7903
0.3745 0.2500 0.3467
0.3977 0.2500 0.6219
0.6023 0.7500 0.3781
0.6255 0.7500 0.6533
0.6745 0.2500 0.2097
0.7698 0.7500 0.0024
0.8461 0.2500 0.8196
0.9549 0.7500 0.5860
0.4609 0.7500 0.0862
0.5391 0.2500 0.9138
0.0399 0.7500 0.8787
0.1205 0.2500 0.7151
0.2721 0.7500 0.4731
0.7279 0.2500 0.5269
0.8795 0.7500 0.2849
0.9601 0.2500 0.1213
```

Largest 8 diffraction maxima, by angle, 10° ≤ 2θ ≤ 90°:
Position (°2θ)	Rel. int.
23.48	100
32.49	40
33.27	95
33.65	90
34.34	53
36.88	20
47.99	26
54.41	19



# 10
Starting from a GGA-PBE-relaxed structure, the X-ray powder pattern of CaP3Ir4 was calculated for Cu Kα (weighted mean of Kα1 and Kα2).
Intensities are scaled so that the largest is 100.

Structural model:
```
CaP3Ir4
1.0
4.0147 0.0000 0.0000
0.0000 4.0147 0.0000
0.0000 0.0000 7.7149
Ca P Ir
1 3 4
Direct
0.0000 0.0000 0.0000
0.0000 0.0000 0.5000
0.5000 0.5000 0.1550
0.5000 0.5000 0.8450
0.0000 0.5000 0.3139
0.0000 0.5000 0.6861
0.5000 0.0000 0.3139
0.5000 0.0000 0.6861
```

Largest 8 diffraction maxima, by angle, 10° ≤ 2θ ≤ 90°:
Position (°2θ)	Rel. int.
11.47	81
23.06	63
31.51	100
33.64	51
34.89	43
39.41	95
45.17	77
47.72	95